[1]
For Dy6Ho2Mg, a crystal structure in Alexandria, relaxed with GGA-PBE gives the computed powder XRD pattern in this record (Cu Ka).
Intensities are scaled so that the largest is 100.

Crystal structure
Cell lengths 10.4754, 10.4754, 5.0073 Å; angles 90.00, 90.00, 90.00 degrees
Sites, in units of the cell vectors:
Dy  0.9996  0.3337  0.0000
Dy  0.0004  0.6663  0.0000
Dy  0.1658  0.1658  0.5000
Dy  0.1663  0.4996  0.5000
Dy  0.3337  0.9996  0.0000
Dy  0.3342  0.6658  0.0000
Dy  0.4996  0.1663  0.5000
Dy  0.5004  0.8337  0.5000
Dy  0.6663  0.0004  0.0000
Dy  0.6658  0.3342  0.0000
Dy  0.8337  0.5004  0.5000
Dy  0.8342  0.8342  0.5000
Ho  0.1672  0.8328  0.5000
Ho  0.3328  0.3328  0.0000
Ho  0.6672  0.6672  0.0000
Ho  0.8328  0.1672  0.5000
Mg  0.0000  0.0000  0.0000
Mg  0.5000  0.5000  0.5000

Top 8 peaks for 2θ = 10–80°, in order of falling intensity:
- 2θ = 31.23°, intensity 100.0
- 2θ = 36.39°, intensity 33.3
- 2θ = 62.28°, intensity 28.1
- 2θ = 52.02°, intensity 24.0
- 2θ = 35.87°, intensity 17.3
- 2θ = 61.59°, intensity 14.5
- 2θ = 65.14°, intensity 12.4
- 2θ = 52.41°, intensity 11.8



[2]
For Ti4MoOs, a crystal structure in Alexandria, relaxed with GGA-PBE gives the computed powder XRD pattern in this record (Cu Ka).
Intensities are scaled so that the largest is 100.

Crystal structure
Cell lengths 4.2379, 5.9489, 8.9844 Å; angles 90.00, 90.00, 90.00 degrees
Sites, in units of the cell vectors:
Ti  0.0150  0.2472  0.0000
Ti  0.0150  0.2528  0.5000
Ti  0.4826  0.7500  0.2657
Ti  0.4826  0.7500  0.7657
Ti  0.5174  0.2500  0.2657
Ti  0.5174  0.2500  0.7657
Ti  0.9850  0.7472  0.5000
Ti  0.9850  0.7528  0.0000
Mo  0.0000  0.0000  0.2527
Mo  0.0000  0.5000  0.7527
Os  0.5000  0.0000  0.0111
Os  0.5000  0.5000  0.5111

Top 8 peaks for 2θ = 10–80°, in order of falling intensity:
- 2θ = 42.22°, intensity 100.0
- 2θ = 17.88°, intensity 95.1
- 2θ = 27.69°, intensity 59.3
- 2θ = 40.15°, intensity 28.6
- 2θ = 39.85°, intensity 26.7
- 2θ = 60.04°, intensity 24.8
- 2θ = 42.67°, intensity 24.1
- 2θ = 74.37°, intensity 17.3



[3]
For NpAlZn17, a crystal structure in Alexandria, relaxed with GGA-PBE gives the computed powder XRD pattern in this record (Cu Ka).
Intensities are scaled so that the largest is 100.

Crystal structure
Cell lengths 6.8226, 6.8226, 6.8226 Å; angles 81.50, 81.50, 81.50 degrees
Sites, in units of the cell vectors:
Np  0.0000  0.0000  0.0000
Al  0.2447  0.2447  0.2447
Zn  0.0005  0.0005  0.4963
Zn  0.0005  0.4963  0.0005
Zn  0.1658  0.6798  0.6798
Zn  0.3172  0.3172  0.8175
Zn  0.3172  0.8175  0.3172
Zn  0.3534  0.6460  0.9945
Zn  0.3534  0.9945  0.6460
Zn  0.4963  0.0005  0.0005
Zn  0.5658  0.5658  0.5658
Zn  0.6460  0.3534  0.9945
Zn  0.6460  0.9945  0.3534
Zn  0.6798  0.1658  0.6798
Zn  0.6798  0.6798  0.1658
Zn  0.7618  0.7618  0.7618
Zn  0.8175  0.3173  0.3172
Zn  0.9945  0.3534  0.6460
Zn  0.9945  0.6460  0.3534

Top 8 peaks for 2θ = 10–80°, in order of falling intensity:
- 2θ = 40.46°, intensity 100.0
- 2θ = 45.48°, intensity 28.0
- 2θ = 34.89°, intensity 26.3
- 2θ = 35.40°, intensity 23.7
- 2θ = 13.23°, intensity 22.3
- 2θ = 40.93°, intensity 21.9
- 2θ = 40.23°, intensity 20.6
- 2θ = 73.69°, intensity 14.9



[4]
For KNdGe2Br8, a crystal structure in Alexandria, relaxed with GGA-PBE gives the computed powder XRD pattern in this record (Cu Ka).
Intensities are scaled so that the largest is 100.

Crystal structure
Cell lengths 6.7418, 7.2833, 9.2968 Å; angles 86.21, 87.87, 86.06 degrees
Sites, in units of the cell vectors:
K  0.0000  0.0000  0.0000
Nd  0.0000  0.0000  0.5000
Ge  0.4591  0.4592  0.2506
Ge  0.5409  0.5408  0.7494
Br  0.2352  0.8182  0.2790
Br  0.2421  0.3260  0.4674
Br  0.2666  0.8540  0.7257
Br  0.2714  0.3623  0.0483
Br  0.7286  0.6377  0.9517
Br  0.7334  0.1460  0.2743
Br  0.7579  0.6740  0.5326
Br  0.7648  0.1818  0.7210

Top 8 peaks for 2θ = 10–80°, in order of falling intensity:
- 2θ = 27.11°, intensity 100.0
- 2θ = 26.54°, intensity 54.7
- 2θ = 35.87°, intensity 51.2
- 2θ = 17.38°, intensity 43.7
- 2θ = 18.59°, intensity 37.8
- 2θ = 28.74°, intensity 34.3
- 2θ = 15.02°, intensity 32.4
- 2θ = 38.86°, intensity 31.9